Entry 1:
Structure and computed X-ray powder pattern of NdThTe (a structure optimized by DFT (PBE); Cu Kα).
Intensities are scaled so that the largest is 100.

```
6
Lattice="3.9248 0.0000 0.0000 -1.9624 3.3989 0.0000 0.0000 0.0000 14.8650" Properties=species:S:1:pos:R:3 pbc="T T T"
Nd 0.0000 0.0000 2.9001
Nd 0.0000 0.0000 11.9648
Th 0.0000 0.0000 7.4325
Th 1.9624 1.1330 0.0000
Te 1.9624 1.1330 5.1729
Te 1.9624 1.1330 9.6920
```

Top 10 peaks for 15° ≤ 2θ ≤ 90°, in order of rising 2θ:
- 2θ 26.22, 3.399 Å, I = 31
- 2θ 26.91, 3.313 Å, I = 7
- 2θ 31.93, 2.803 Å, I = 100
- 2θ 35.80, 2.508 Å, I = 8
- 2θ 36.26, 2.477 Å, I = 12
- 2θ 45.29, 2.002 Å, I = 10
- 2θ 46.26, 1.962 Å, I = 27
- 2θ 57.31, 1.608 Å, I = 19
- 2θ 60.15, 1.538 Å, I = 16
- 2θ 76.62, 1.244 Å, I = 16

---

Entry 2:
Structure and computed X-ray powder pattern of NdTh3Te4 (a structure optimized by DFT (PBE); Cu Kα).
Intensities are scaled so that the largest is 100.

```
16
Lattice="8.7705 0.0000 0.0000 0.0000 12.6427 0.0000 0.0000 0.0000 4.5641" Properties=species:S:1:pos:R:3 pbc="T T T"
Nd 0.0000 0.0000 0.0000
Nd 4.3852 6.3214 0.0000
Th 0.0000 6.3214 0.0000
Th 2.1926 3.1607 2.2821
Th 2.1926 9.4820 2.2821
Th 4.3852 0.0000 0.0000
Th 6.5779 3.1607 2.2821
Th 6.5779 9.4820 2.2821
Te 0.0000 3.1500 0.0000
Te 0.0000 9.4927 0.0000
Te 2.1808 0.0000 2.2821
Te 2.2044 6.3214 2.2821
Te 4.3852 3.1713 0.0000
Te 4.3852 9.4714 0.0000
Te 6.5660 6.3214 2.2821
Te 6.5897 0.0000 2.2821
```

Top 10 peaks for 15° ≤ 2θ ≤ 90°, in order of rising 2θ:
- 2θ 28.23, 3.162 Å, I = 100
- 2θ 39.49, 2.282 Å, I = 14
- 2θ 40.35, 2.235 Å, I = 52
- 2θ 41.17, 2.193 Å, I = 12
- 2θ 49.25, 1.850 Å, I = 15
- 2θ 50.67, 1.802 Å, I = 13
- 2θ 58.37, 1.581 Å, I = 13
- 2θ 66.09, 1.414 Å, I = 24
- 2θ 72.20, 1.308 Å, I = 9
- 2θ 74.47, 1.274 Å, I = 9

---

Entry 3:
Structure and computed X-ray powder pattern of NdTh2Te5 (a structure optimized by DFT (PBE); Cu Kα).
Intensities are scaled so that the largest is 100.

```
16
Lattice="-4.1767 4.1767 7.2878 4.1767 -4.1767 7.2878 4.1767 4.1767 -7.2878" Properties=species:S:1:pos:R:3 pbc="T T T"
Nd 0.0000 0.0000 3.6439
Nd 0.0000 0.0000 10.9317
Th 5.4101 1.2333 0.0000
Th 1.2333 2.9434 0.0000
Th 2.9434 1.2333 7.2878
Th -1.2333 2.9434 7.2878
Te 0.0000 0.0000 0.0000
Te 2.8501 1.3266 -2.1646
Te 2.8501 -1.3266 5.1232
Te 2.8501 1.3266 2.1646
Te 2.8501 -1.3266 9.4524
Te 0.0000 0.0000 7.2878
Te 1.3266 5.5033 -2.1646
Te 1.3266 2.8501 5.1232
Te 1.3266 5.5033 2.1646
Te 1.3266 2.8501 9.4524
```

Top 10 peaks for 15° ≤ 2θ ≤ 90°, in order of rising 2θ:
- 2θ 30.18, 2.961 Å, I = 100
- 2θ 32.61, 2.746 Å, I = 8
- 2θ 33.94, 2.642 Å, I = 43
- 2θ 37.01, 2.429 Å, I = 9
- 2θ 39.21, 2.298 Å, I = 15
- 2θ 48.72, 1.869 Å, I = 19
- 2θ 51.08, 1.788 Å, I = 8
- 2θ 60.53, 1.530 Å, I = 8
- 2θ 61.86, 1.500 Å, I = 10
- 2θ 62.90, 1.478 Å, I = 20

---

Entry 4:
Structure and computed X-ray powder pattern of NdThTe2 (a structure optimized by DFT (PBE); Cu Kα).
Intensities are scaled so that the largest is 100.

```
16
Lattice="6.3423 0.0000 0.0000 0.0000 6.3423 0.0000 0.0000 0.0000 12.6588" Properties=species:S:1:pos:R:3 pbc="T T T"
Nd 0.0000 1.5856 4.7471
Nd 0.0000 4.7567 7.9118
Nd 3.1712 1.5856 1.5824
Nd 3.1712 4.7567 11.0765
Th 0.0000 1.5856 11.0765
Th 0.0000 4.7567 1.5824
Th 3.1712 1.5856 7.9118
Th 3.1712 4.7567 4.7471
Te 0.0000 1.5856 1.5871
Te 0.0000 1.5856 7.9070
Te 0.0000 4.7567 4.7518
Te 0.0000 4.7567 11.0717
Te 3.1712 1.5856 4.7423
Te 3.1712 1.5856 11.0812
Te 3.1712 4.7567 1.5776
Te 3.1712 4.7567 7.9165
```

Top 10 peaks for 15° ≤ 2θ ≤ 90°, in order of rising 2θ:
- 2θ 24.32, 3.659 Å, I = 7
- 2θ 28.16, 3.169 Å, I = 100
- 2θ 40.25, 2.241 Å, I = 77
- 2θ 49.84, 1.830 Å, I = 28
- 2θ 58.18, 1.586 Å, I = 9
- 2θ 58.31, 1.582 Å, I = 4
- 2θ 65.87, 1.418 Å, I = 24
- 2θ 65.98, 1.416 Å, I = 12
- 2θ 73.15, 1.294 Å, I = 27
- 2θ 86.99, 1.120 Å, I = 6

---

Entry 5:
Structure and computed X-ray powder pattern of Nd4TlTe (a structure optimized by DFT (PBE); Cu Kα).
Intensities are scaled so that the largest is 100.

```
12
Lattice="2.9038 -10.9786 0.0000 2.9038 10.9786 0.0000 0.0000 0.0000 6.5432" Properties=species:S:1:pos:R:3 pbc="T T T"
Nd 2.9038 9.5017 4.9074
Nd 2.9038 6.2604 3.2896
Nd 2.9038 6.2604 6.5252
Nd 2.9038 2.7823 4.9074
Nd 2.9038 -2.7823 1.6358
Nd 2.9038 -6.2604 0.0180
Nd 2.9038 -6.2604 3.2536
Nd 2.9038 -9.5017 1.6358
Tl 2.9038 3.2464 1.6358
Tl 2.9038 -3.2464 4.9074
Te 2.9038 9.3274 1.6358
Te 2.9038 -9.3274 4.9074
```

Top 10 peaks for 15° ≤ 2θ ≤ 90°, in order of rising 2θ:
- 2θ 28.47, 3.135 Å, I = 26
- 2θ 30.79, 2.904 Å, I = 63
- 2θ 31.85, 2.810 Å, I = 47
- 2θ 32.44, 2.760 Å, I = 100
- 2θ 33.75, 2.656 Å, I = 69
- 2θ 37.62, 2.391 Å, I = 19
- 2θ 44.88, 2.019 Å, I = 34
- 2θ 55.80, 1.647 Å, I = 21
- 2θ 56.25, 1.635 Å, I = 25
- 2θ 66.44, 1.407 Å, I = 25

---

Entry 6:
Structure and computed X-ray powder pattern of NdTlTe (a structure optimized by DFT (PBE); Cu Kα).
Intensities are scaled so that the largest is 100.

```
6
Lattice="2.6126 1.5084 9.4543 -2.6126 1.5084 9.4543 0.0000 -3.0168 9.4543" Properties=species:S:1:pos:R:3 pbc="T T T"
Nd 0.0000 0.0000 6.6322
Nd 0.0000 0.0000 21.7306
Tl 0.0000 0.0000 10.0625
Tl 0.0000 0.0000 18.3003
Te 0.0000 0.0000 3.4066
Te 0.0000 0.0000 24.9562
```

Top 10 peaks for 15° ≤ 2θ ≤ 90°, in order of rising 2θ:
- 2θ 20.60, 4.311 Å, I = 56
- 2θ 23.32, 3.815 Å, I = 33
- 2θ 28.32, 3.151 Å, I = 22
- 2θ 29.59, 3.019 Å, I = 34
- 2θ 32.07, 2.791 Å, I = 58
- 2θ 34.32, 2.613 Å, I = 100
- 2θ 45.08, 2.011 Å, I = 37
- 2θ 59.01, 1.565 Å, I = 20
- 2θ 60.06, 1.540 Å, I = 19
- 2θ 61.47, 1.508 Å, I = 20

---

Entry 7:
Structure and computed X-ray powder pattern of Nd5TlTe4 (a structure optimized by DFT (PBE); Cu Kα).
Intensities are scaled so that the largest is 100.

```
10
Lattice="-2.2538 2.2538 15.9576 2.2538 -2.2538 15.9576 2.2538 2.2538 -15.9576" Properties=species:S:1:pos:R:3 pbc="T T T"
Nd 0.0000 0.0000 0.0000
Nd 0.0000 0.0000 6.3862
Nd 0.0000 0.0000 12.8115
Nd 0.0000 0.0000 19.1036
Nd 0.0000 0.0000 25.5289
Tl 0.0000 0.0000 15.9576
Te 0.0000 0.0000 3.2161
Te 0.0000 0.0000 9.5980
Te 0.0000 0.0000 22.3171
Te 0.0000 0.0000 28.6990
```

Top 9 peaks for 15° ≤ 2θ ≤ 90°, in order of rising 2θ:
- 2θ 19.89, 4.463 Å, I = 1
- 2θ 21.41, 4.150 Å, I = 1
- 2θ 27.98, 3.189 Å, I = 100
- 2θ 39.99, 2.255 Å, I = 77
- 2θ 49.51, 1.841 Å, I = 28
- 2θ 57.83, 1.594 Å, I = 13
- 2θ 65.45, 1.426 Å, I = 36
- 2θ 72.63, 1.302 Å, I = 26
- 2θ 86.29, 1.127 Å, I = 9

---

Entry 8:
Structure and computed X-ray powder pattern of Nd3TlTe4 (a structure optimized by DFT (PBE); Cu Kα).
Intensities are scaled so that the largest is 100.

```
16
Lattice="4.5131 0.0000 0.0000 -2.2565 3.9084 0.0000 0.0000 0.0000 31.3625" Properties=species:S:1:pos:R:3 pbc="T T T"
Nd 0.0000 0.0000 0.0000
Nd 0.0000 0.0000 15.6812
Nd 0.0000 2.6056 3.6761
Nd 0.0000 2.6056 12.0051
Nd 2.2565 1.3028 19.3574
Nd 2.2565 1.3028 27.6864
Tl 0.0000 2.6056 23.5219
Tl 2.2565 1.3028 7.8406
Te 0.0000 0.0000 5.5024
Te 0.0000 0.0000 10.1788
Te 0.0000 0.0000 21.1837
Te 0.0000 0.0000 25.8601
Te 0.0000 2.6056 17.5216
Te 0.0000 2.6056 29.5222
Te 2.2565 1.3028 1.8403
Te 2.2565 1.3028 13.8409
```

Top 10 peaks for 15° ≤ 2θ ≤ 90°, in order of rising 2θ:
- 2θ 26.88, 3.317 Å, I = 84
- 2θ 28.52, 3.130 Å, I = 100
- 2θ 39.11, 2.303 Å, I = 41
- 2θ 39.95, 2.257 Å, I = 72
- 2θ 41.57, 2.173 Å, I = 16
- 2θ 48.81, 1.866 Å, I = 17
- 2θ 49.81, 1.831 Å, I = 22
- 2θ 62.79, 1.480 Å, I = 22
- 2θ 64.84, 1.438 Å, I = 14
- 2θ 65.68, 1.422 Å, I = 18

---

Entry 9:
Structure and computed X-ray powder pattern of Nd8Tl2Te (a structure optimized by DFT (PBE); Cu Kα).
Intensities are scaled so that the largest is 100.

```
11
Lattice="9.8846 -2.6209 0.0000 9.8846 2.6209 0.0000 -1.3006 0.0000 7.0616" Properties=species:S:1:pos:R:3 pbc="T T T"
Nd 0.0411 0.0000 1.8236
Nd 3.0361 0.0000 5.8852
Nd 6.0991 0.0000 3.5106
Nd 8.0126 0.0000 0.1784
Nd 10.4561 0.0000 6.8832
Nd 12.3695 0.0000 3.5510
Nd 15.4326 0.0000 1.1764
Nd 18.4275 0.0000 5.2380
Tl 3.2743 0.0000 1.8715
Tl 15.1944 0.0000 5.1901
Te 9.2343 0.0000 3.5308
```

Top 10 peaks for 15° ≤ 2θ ≤ 90°, in order of rising 2θ:
- 2θ 28.58, 3.123 Å, I = 63
- 2θ 30.17, 2.962 Å, I = 100
- 2θ 31.58, 2.833 Å, I = 55
- 2θ 32.42, 2.762 Å, I = 21
- 2θ 33.01, 2.714 Å, I = 22
- 2θ 33.99, 2.638 Å, I = 23
- 2θ 34.21, 2.621 Å, I = 63
- 2θ 35.50, 2.529 Å, I = 19
- 2θ 36.80, 2.442 Å, I = 32
- 2θ 58.52, 1.577 Å, I = 21

---

Entry 10:
Structure and computed X-ray powder pattern of NdTl3Te3 (a structure optimized by DFT (PBE); Cu Kα).
Intensities are scaled so that the largest is 100.

```
14
Lattice="8.5033 -4.3963 0.0000 8.5033 4.3963 0.0000 -5.4719 0.0000 7.9467" Properties=species:S:1:pos:R:3 pbc="T T T"
Nd 1.0542 0.0000 3.6573
Nd 10.4806 0.0000 4.2894
Tl -1.2304 0.0000 7.9358
Tl 8.5033 2.1304 0.0000
Tl 5.7674 2.1214 3.9733
Tl 5.7674 -2.1214 3.9733
Tl 8.5033 -2.1304 0.0000
Tl 12.7652 0.0000 0.0109
Te 2.7395 2.1971 2.1944
Te 8.7953 -2.1971 5.7522
Te -4.0102 0.0000 6.0194
Te 2.7395 -2.1971 2.1944
Te 8.7953 2.1971 5.7522
Te 15.5449 0.0000 1.9273
```

Top 10 peaks for 15° ≤ 2θ ≤ 90°, in order of rising 2θ:
- 2θ 22.38, 3.973 Å, I = 18
- 2θ 25.44, 3.502 Å, I = 55
- 2θ 27.45, 3.249 Å, I = 100
- 2θ 37.28, 2.412 Å, I = 21
- 2θ 37.77, 2.382 Å, I = 76
- 2θ 41.06, 2.198 Å, I = 18
- 2θ 45.67, 1.986 Å, I = 21
- 2θ 48.92, 1.862 Å, I = 18
- 2θ 60.02, 1.541 Å, I = 15
- 2θ 63.08, 1.474 Å, I = 16

---

Entry 11:
Structure and computed X-ray powder pattern of NdYTlTe (a structure optimized by DFT (PBE); Cu Kα).
Intensities are scaled so that the largest is 100.

```
4
Lattice="4.4537 0.0000 0.0000 0.0000 4.4537 0.0000 0.0000 0.0000 6.3155" Properties=species:S:1:pos:R:3 pbc="T T T"
Nd 0.0000 0.0000 0.0000
Y 2.2269 2.2269 3.1577
Tl 2.2269 2.2269 0.0000
Te 0.0000 0.0000 3.1577
```

Top 10 peaks for 15° ≤ 2θ ≤ 90°, in order of rising 2θ:
- 2θ 28.31, 3.152 Å, I = 100
- 2θ 31.75, 2.818 Å, I = 5
- 2θ 40.47, 2.229 Å, I = 77
- 2θ 50.13, 1.820 Å, I = 28
- 2θ 58.63, 1.575 Å, I = 9
- 2θ 66.21, 1.411 Å, I = 12
- 2θ 66.35, 1.409 Å, I = 24
- 2θ 73.53, 1.288 Å, I = 9
- 2θ 73.65, 1.286 Å, I = 17
- 2θ 87.49, 1.115 Å, I = 6

---

Entry 12:
Structure and computed X-ray powder pattern of NdZr2Tl3Te6 (a structure optimized by DFT (PBE); Cu Kα).
Intensities are scaled so that the largest is 100.

```
12
Lattice="3.6756 -6.3688 0.0000 3.6756 6.3688 0.0000 -2.4567 0.0000 8.3921" Properties=species:S:1:pos:R:3 pbc="T T T"
Nd 0.0000 0.0000 0.0000
Zr 3.6756 2.1531 0.0000
Zr 3.6756 -2.1531 0.0000
Tl 2.4473 4.3689 4.1961
Tl 2.4473 0.0000 4.1961
Tl 2.4473 -4.3689 4.1961
Te 1.3034 2.2507 1.8118
Te 0.1528 0.0000 6.6443
Te 1.3034 -2.2507 1.8118
Te 3.5911 2.2507 6.5804
Te 4.7417 0.0000 1.7478
Te 3.5911 -2.2507 6.5804
```

Top 10 peaks for 15° ≤ 2θ ≤ 90°, in order of rising 2θ:
- 2θ 28.11, 3.174 Å, I = 100
- 2θ 30.09, 2.970 Å, I = 10
- 2θ 37.61, 2.391 Å, I = 28
- 2θ 37.64, 2.390 Å, I = 14
- 2θ 42.59, 2.123 Å, I = 33
- 2θ 51.81, 1.764 Å, I = 17
- 2θ 58.12, 1.587 Å, I = 11
- 2θ 62.22, 1.492 Å, I = 15
- 2θ 69.25, 1.357 Å, I = 14
- 2θ 74.67, 1.271 Å, I = 10

---

Entry 13:
Structure and computed X-ray powder pattern of Nd2TmTe3 (a structure optimized by DFT (PBE); Cu Kα).
Intensities are scaled so that the largest is 100.

```
24
Lattice="0.0000 6.2596 13.1114 4.5079 0.0000 13.1114 4.5079 6.2596 0.0000" Properties=species:S:1:pos:R:3 pbc="T T T"
Nd 1.1270 1.5649 1.2282
Nd 3.3809 4.6947 3.2237
Nd 1.1270 1.5649 5.3275
Nd 5.6348 7.8245 9.7794
Nd 3.3809 4.6947 16.4435
Nd 7.8888 10.9543 20.8954
Nd 5.6348 7.8245 22.9992
Nd 7.8888 10.9543 24.9946
Tm 3.3809 4.6947 7.6765
Tm 3.3809 4.6947 11.9907
Tm 5.6348 7.8245 14.2322
Tm 5.6348 7.8245 18.5464
Te 3.4354 1.6371 7.5651
Te 5.4897 4.6947 9.8336
Te 3.3264 1.6371 12.1021
Te 5.5803 4.7669 14.1208
Te 7.7436 7.8245 16.3893
Te 5.6894 4.7669 18.6578
Te 3.3264 7.7523 7.5651
Te 1.2721 4.6947 9.8336
Te 3.4354 7.7523 12.1021
Te 5.6894 10.8821 14.1208
Te 3.5261 7.8245 16.3893
Te 5.5803 10.8821 18.6578
```

Top 10 peaks for 15° ≤ 2θ ≤ 90°, in order of rising 2θ:
- 2θ 28.47, 3.135 Å, I = 100
- 2θ 40.00, 2.254 Å, I = 13
- 2θ 40.72, 2.216 Å, I = 50
- 2θ 41.32, 2.185 Å, I = 12
- 2θ 49.86, 1.829 Å, I = 14
- 2θ 50.97, 1.792 Å, I = 13
- 2θ 58.86, 1.569 Å, I = 8
- 2θ 66.68, 1.403 Å, I = 11
- 2θ 66.80, 1.400 Å, I = 11
- 2θ 73.14, 1.294 Å, I = 8